Diffraction record for BeInCoNF. The PXRD pattern is theoretical, not measured: it uses DFT lattice parameters and positions (PBE+U) and a wavelength of 1.5418 Å.

Main lines, sorted by position (2θ from 10° to 90°):
- (0 0 2), 7.602 Å, 2θ 11.64, intensity 100.0
- (1 0 2), 2.821 Å, 2θ 31.71, intensity 42.6
- (0 1 1), 2.779 Å, 2θ 32.22, intensity 18.6
- (0 0 6), 2.534 Å, 2θ 35.42, intensity 17.5
- (0 1 3), 2.468 Å, 2θ 36.40, intensity 30.7
- (1 0 4), 2.373 Å, 2θ 37.91, intensity 40.0
- (0 1 5), 2.070 Å, 2θ 43.73, intensity 31.3
- (1 1 1), 2.050 Å, 2θ 44.17, intensity 45.2
- (1 0 6), 1.946 Å, 2θ 46.68, intensity 11.2
- (1 1 7), 1.498 Å, 2θ 61.93, intensity 20.9

Structural model:
Cell: 3.038 2.826 15.204 Å, 90.00 90.00 90.00°
Space group Amm2 (No. 38)
One atom of each set of equivalent atoms:
1 Be 0.000 0.000 0.000 x2
2 In 0.000 0.000 0.262 x2
3 Co 0.500 0.000 0.633 x2
4 N 0.500 0.000 0.054 x2
5 F 0.000 0.000 0.438 x2